[1]
For Tb3CeDy8, a cell relaxed with PBE gives the computed X-ray powder pattern in this record (Cu Kα (weighted mean of Kα1 and Kα2)).
Kinematic intensities with the Lorentz-polarization factor, no thermal factor.

Crystal structure
a = 9.378 Å, b = 9.378 Å, c = 9.378 Å
α = 131.86°, β = 131.86°, γ = 70.45°
Fractional coordinates of all 12 atoms:
1 Tb 0.000 0.000 0.000
2 Tb 0.250 0.750 0.500
3 Tb 0.750 0.250 0.500
4 Ce 0.500 0.500 0.000
5 Dy 0.129 0.129 0.505
6 Dy 0.129 0.624 0.000
7 Dy 0.376 0.376 0.505
8 Dy 0.376 0.871 0.000
9 Dy 0.624 0.129 0.000
10 Dy 0.624 0.624 0.495
11 Dy 0.871 0.376 0.000
12 Dy 0.871 0.871 0.495

Peak list (10 most intense, 2θ from 15° to 90°, in order of rising 2θ)
4.419 Å, 20.09 deg, I 24; 3.827 Å, 23.24 deg, I 15; 2.706 Å, 33.10 deg, I 100; 2.308 Å, 39.03 deg, I 13; 1.913 Å, 47.52 deg, I 18; 1.756 Å, 52.09 deg, I 6; 1.711 Å, 53.54 deg, I 6; 1.562 Å, 59.13 deg, I 38; 1.353 Å, 69.47 deg, I 12; 1.210 Å, 79.18 deg, I 11


[2]
For Rb2GaCl5, a cell relaxed with PBE gives the computed X-ray powder pattern in this record (Cu Kα (weighted mean of Kα1 and Kα2)).
Kinematic intensities with the Lorentz-polarization factor, no thermal factor.

Crystal structure
a = 12.305 Å, b = 13.262 Å, c = 9.587 Å
α = 90.00°, β = 90.00°, γ = 90.00°
Fractional coordinates of all 32 atoms:
1 Rb 0.000 0.000 0.225
2 Rb 0.000 0.000 0.775
3 Rb 0.150 0.340 0.000
4 Rb 0.350 0.840 0.500
5 Rb 0.500 0.500 0.275
6 Rb 0.500 0.500 0.725
7 Rb 0.650 0.160 0.500
8 Rb 0.850 0.660 0.000
9 Ga 0.238 0.724 0.000
10 Ga 0.262 0.224 0.500
11 Ga 0.738 0.776 0.500
12 Ga 0.762 0.276 0.000
13 Cl 0.098 0.155 0.500
14 Cl 0.118 0.599 0.000
15 Cl 0.130 0.114 0.000
16 Cl 0.214 0.817 0.188
17 Cl 0.214 0.817 0.812
18 Cl 0.286 0.317 0.312
19 Cl 0.286 0.317 0.688
20 Cl 0.370 0.614 0.500
21 Cl 0.382 0.099 0.500
22 Cl 0.402 0.655 0.000
23 Cl 0.598 0.345 0.000
24 Cl 0.618 0.901 0.500
25 Cl 0.630 0.386 0.500
26 Cl 0.714 0.683 0.312
27 Cl 0.714 0.683 0.688
28 Cl 0.786 0.183 0.188
29 Cl 0.786 0.183 0.812
30 Cl 0.870 0.886 0.000
31 Cl 0.882 0.401 0.000
32 Cl 0.902 0.845 0.500

Peak list (10 most intense, 2θ from 15° to 90°, in order of rising 2θ)
4.793 Å, 18.51 deg, I 25; 4.510 Å, 19.68 deg, I 100; 4.233 Å, 20.99 deg, I 40; 4.014 Å, 22.14 deg, I 31; 3.885 Å, 22.89 deg, I 36; 3.775 Å, 23.57 deg, I 52; 3.633 Å, 24.50 deg, I 53; 2.590 Å, 34.64 deg, I 45; 2.547 Å, 35.24 deg, I 37; 2.492 Å, 36.04 deg, I 26


[3]
For TbGa2F8, a cell relaxed with PBE gives the computed X-ray powder pattern in this record (Cu Kα (weighted mean of Kα1 and Kα2)).
Kinematic intensities with the Lorentz-polarization factor, no thermal factor.

Crystal structure
a = 6.734 Å, b = 6.734 Å, c = 4.054 Å
α = 90.00°, β = 90.00°, γ = 120.00°
Fractional coordinates of all 11 atoms:
1 Tb 0.000 0.000 0.000
2 Ga 0.333 0.667 0.737
3 Ga 0.667 0.333 0.263
4 F 0.167 0.335 0.739
5 F 0.168 0.833 0.739
6 F 0.333 0.667 0.242
7 F 0.335 0.168 0.261
8 F 0.665 0.832 0.739
9 F 0.667 0.333 0.758
10 F 0.832 0.167 0.261
11 F 0.833 0.665 0.261

Peak list (10 most intense, 2θ from 15° to 90°, in order of rising 2θ)
5.832 Å, 15.19 deg, I 27; 3.367 Å, 26.47 deg, I 100; 3.329 Å, 26.78 deg, I 88; 2.590 Å, 34.63 deg, I 24; 2.367 Å, 38.01 deg, I 23; 1.944 Å, 46.73 deg, I 21; 1.936 Å, 46.92 deg, I 38; 1.915 Å, 47.49 deg, I 24; 1.683 Å, 54.51 deg, I 28; 1.664 Å, 55.19 deg, I 25


Question: What is the formula in the first record?
Answer: Tb3CeDy8


Repeat the third record exactly.
For TbGa2F8, a cell relaxed with PBE gives the computed X-ray powder pattern in this record (Cu Kα (weighted mean of Kα1 and Kα2)).
Kinematic intensities with the Lorentz-polarization factor, no thermal factor.

Crystal structure
a = 6.734 Å, b = 6.734 Å, c = 4.054 Å
α = 90.00°, β = 90.00°, γ = 120.00°
Fractional coordinates of all 11 atoms:
1 Tb 0.000 0.000 0.000
2 Ga 0.333 0.667 0.737
3 Ga 0.667 0.333 0.263
4 F 0.167 0.335 0.739
5 F 0.168 0.833 0.739
6 F 0.333 0.667 0.242
7 F 0.335 0.168 0.261
8 F 0.665 0.832 0.739
9 F 0.667 0.333 0.758
10 F 0.832 0.167 0.261
11 F 0.833 0.665 0.261

Peak list (10 most intense, 2θ from 15° to 90°, in order of rising 2θ)
5.832 Å, 15.19 deg, I 27; 3.367 Å, 26.47 deg, I 100; 3.329 Å, 26.78 deg, I 88; 2.590 Å, 34.63 deg, I 24; 2.367 Å, 38.01 deg, I 23; 1.944 Å, 46.73 deg, I 21; 1.936 Å, 46.92 deg, I 38; 1.915 Å, 47.49 deg, I 24; 1.683 Å, 54.51 deg, I 28; 1.664 Å, 55.19 deg, I 25